# 1
Diffraction record for LiPu3N4. The powder XRD pattern is computed, not measured: it uses the PBE geometry in Alexandria and Cu Kα.
Peak positions follow from Bragg's law for the DFT cell and can differ from measured ones.

Atomic structure:
Unit cell a=4.7855 b=4.7855 c=4.7855 alpha=90.00 beta=90.00 gamma=90.00
Sites, in units of the cell vectors:
Li: 0.0000 0.0000 0.0000
Pu: 0.0000 0.5000 0.5000
Pu: 0.5000 0.0000 0.5000
Pu: 0.5000 0.5000 0.0000
N: 0.0000 0.0000 0.5000
N: 0.0000 0.5000 0.0000
N: 0.5000 0.0000 0.0000
N: 0.5000 0.5000 0.5000

Peak list (10 most intense, 2θ from 10° to 90°, by angle)
two_theta	d (Å)	I/Imax
18.54	4.785	35.5
26.34	3.384	31.2
32.40	2.763	100.0
37.59	2.393	69.2
42.23	2.140	18.3
46.48	1.954	14.0
54.21	1.692	48.3
64.59	1.443	45.8
67.84	1.381	16.5
89.21	1.098	20.7



# 2
Diffraction record for Li6PuN4. The powder XRD pattern is computed, not measured: it uses the PBE geometry in Alexandria and Cu Kα.
Peak positions follow from Bragg's law for the DFT cell and can differ from measured ones.

Atomic structure:
Unit cell a=7.2052 b=7.2052 c=4.7219 alpha=90.00 beta=90.00 gamma=90.00
Sites, in units of the cell vectors:
Li: 0.0358 0.5358 0.2500
Li: 0.0358 0.9642 0.2500
Li: 0.2500 0.2500 0.1550
Li: 0.2500 0.2500 0.6550
Li: 0.4642 0.5358 0.2500
Li: 0.4642 0.9642 0.2500
Li: 0.5358 0.0358 0.7500
Li: 0.5358 0.4642 0.7500
Li: 0.7500 0.7500 0.3450
Li: 0.7500 0.7500 0.8450
Li: 0.9642 0.0358 0.7500
Li: 0.9642 0.4642 0.7500
Pu: 0.2500 0.7500 0.7500
Pu: 0.7500 0.2500 0.2500
N: 0.0114 0.2500 0.4135
N: 0.2500 0.0114 0.9135
N: 0.2500 0.4886 0.9135
N: 0.4886 0.2500 0.4135
N: 0.5114 0.7500 0.5865
N: 0.7500 0.5114 0.0865
N: 0.7500 0.9886 0.0865
N: 0.9886 0.7500 0.5865

Peak list (10 most intense, 2θ from 10° to 90°, by angle)
two_theta	d (Å)	I/Imax
17.41	5.095	72.6
22.51	3.949	100.0
24.71	3.603	34.2
33.67	2.662	61.4
39.55	2.278	20.3
42.20	2.141	41.5
49.53	1.840	19.6
56.11	1.639	32.7
66.08	1.414	16.8
68.01	1.378	19.8



# 3
Diffraction record for Li4Pu3SiN8. The powder XRD pattern is computed, not measured: it uses the PBE geometry in Alexandria and Cu Kα.
Peak positions follow from Bragg's law for the DFT cell and can differ from measured ones.

Atomic structure:
Unit cell a=6.4976 b=6.4976 c=6.1576 alpha=115.36 beta=115.36 gamma=58.62
Sites, in units of the cell vectors:
Li: 0.0000 0.0000 0.0000
Li: 0.0000 0.5000 0.5000
Li: 0.5000 0.0000 0.5000
Li: 0.5000 0.5000 0.0000
Pu: 0.0000 0.0000 0.5000
Pu: 0.0000 0.5000 0.0000
Pu: 0.5000 0.0000 0.0000
Si: 0.5000 0.5000 0.5000
N: 0.2186 0.2186 0.1944
N: 0.2267 0.2267 0.7387
N: 0.2650 0.6887 0.2714
N: 0.3113 0.7350 0.7286
N: 0.6887 0.2650 0.2714
N: 0.7350 0.3113 0.7286
N: 0.7733 0.7733 0.2613
N: 0.7814 0.7814 0.8056

Peak list (10 most intense, 2θ from 10° to 90°, by angle)
two_theta	d (Å)	I/Imax
16.56	5.353	24.2
17.45	5.083	100.0
30.03	2.976	25.1
32.74	2.736	38.6
33.41	2.682	15.9
33.52	2.673	31.9
36.41	2.468	21.1
40.83	2.210	31.1
42.76	2.115	19.5
54.54	1.683	24.1



# 4
Diffraction record for Li2PuTcN4. The powder XRD pattern is computed, not measured: it uses the PBE geometry in Alexandria and Cu Kα.
Peak positions follow from Bragg's law for the DFT cell and can differ from measured ones.

Atomic structure:
Unit cell a=4.4600 b=8.1352 c=4.5740 alpha=90.00 beta=90.00 gamma=90.00
Sites, in units of the cell vectors:
Li: 0.2500 0.0026 0.2430
Li: 0.2500 0.4974 0.2430
Li: 0.7500 0.5026 0.7570
Li: 0.7500 0.9974 0.7570
Pu: 0.2500 0.2500 0.7277
Pu: 0.7500 0.7500 0.2723
Tc: 0.2500 0.7500 0.7964
Tc: 0.7500 0.2500 0.2036
N: 0.2500 0.2500 0.2193
N: 0.2500 0.5152 0.7245
N: 0.2500 0.7500 0.2296
N: 0.2500 0.9848 0.7245
N: 0.7500 0.0152 0.2755
N: 0.7500 0.2500 0.7704
N: 0.7500 0.4848 0.2755
N: 0.7500 0.7500 0.7807

Peak list (10 most intense, 2θ from 10° to 90°, by angle)
two_theta	d (Å)	I/Imax
21.85	4.068	95.2
22.30	3.987	28.3
22.74	3.911	26.3
27.94	3.193	100.0
35.75	2.512	85.0
39.40	2.287	27.1
40.45	2.230	29.2
45.50	1.994	23.9
46.44	1.955	26.6
53.41	1.715	33.6